1.
Li3MnCoO5: theoretical X-ray powder pattern (a wavelength of 1.5418 Å), based on the GGA+U geometry in the Materials Project.
No peak broadening, texture or thermal motion is included.

Crystal structure
```
Li3MnCoO5
1.0
4.9121 -1.4460 0.0000
4.9121 1.4460 0.0000
-3.1418 0.0000 12.9509
Li Mn Co O
6 2 2 10
Cartesian
0.0000 0.0000 0.0000
-1.2168 0.0000 9.2880
2.7970 0.0000 1.1024
3.3412 0.0000 6.4754
3.8854 0.0000 11.8484
7.8992 0.0000 3.6629
0.6938 0.0000 5.1588
5.9886 0.0000 7.7921
1.3219 0.0000 10.6387
5.3605 0.0000 2.3121
-2.2868 0.0000 10.9233
-0.0790 0.0000 7.0760
1.5199 0.0000 3.4836
0.4280 0.0000 12.1626
2.2625 0.0000 8.2422
4.4199 0.0000 4.7087
6.2544 0.0000 0.7883
5.1625 0.0000 9.4673
6.7614 0.0000 5.8748
8.9693 0.0000 2.0276
```

The 10 most intense peaks (2θ = 15–90°), sorted by position:
| Position (°2θ) | I_rel |
| --- | --- |
| 18.2 | 100 |
| 27.5 | 9 |
| 34.6 | 11 |
| 36.2 | 26 |
| 41.7 | 27 |
| 44.0 | 58 |
| 57.9 | 9 |
| 62.1 | 13 |
| 62.2 | 12 |
| 64.4 | 8 |

---

2.
Li2MnCo3O8: theoretical X-ray powder pattern (a wavelength of 1.5418 Å), based on the GGA+U geometry in the Materials Project.
No peak broadening, texture or thermal motion is included.

Crystal structure
```
Li2MnCo3O8
1.0
5.7353 0.0000 0.0000
2.7621 5.0421 0.0000
2.5941 1.5662 9.8307
Li Mn Co O
4 2 6 16
Cartesian
2.7395 1.6712 2.4483
4.0629 2.4742 7.3917
7.0285 4.1341 2.4390
8.3519 4.9370 7.3823
1.2971 0.7831 4.9153
4.2487 2.5210 0.0000
0.0000 0.0000 0.0000
1.3810 2.5210 0.0000
2.6781 3.3041 4.9153
2.8676 0.0000 0.0000
4.1647 0.7831 4.9153
5.5457 3.3041 4.9153
3.9732 4.1764 5.9554
1.3967 0.8921 0.9963
2.7396 1.6408 5.9158
2.8043 3.2859 1.0519
4.0238 2.3989 3.9529
5.3939 3.2888 8.8244
5.5414 5.1101 3.8730
6.9272 5.7383 8.7792
4.1642 0.8699 1.0515
5.5500 1.4981 5.9577
5.6976 3.3194 1.0063
7.0677 4.2093 5.8778
8.2872 3.3223 8.7788
8.3519 4.9674 3.9148
9.6947 5.7161 8.8344
7.1182 2.4318 3.8753
```

The 10 most intense peaks (2θ = 15–90°), sorted by position:
| Position (°2θ) | I_rel |
| --- | --- |
| 18.0 | 100 |
| 36.1 | 22 |
| 37.1 | 11 |
| 43.2 | 36 |
| 44.7 | 17 |
| 56.6 | 10 |
| 62.0 | 5 |
| 62.8 | 5 |
| 63.6 | 5 |
| 64.9 | 5 |